# 1
Diffraction record for GePb3O5. The powder XRD pattern is theoretical, not measured: it uses the GGA-PBE geometry in the Materials Project and Cu Kα.
Kinematic intensities with the Lorentz-polarization factor, no thermal factor.

Cell and atoms:
a = 5.3964 Å, b = 10.6345 Å, c = 5.6180 Å
α = 90.00°, β = 93.28°, γ = 90.00°
Space group P2_1 (No. 4)
Asymmetric unit:
Ge 0.0239 0.0000 0.4525 [2 per cell]
Pb 0.0245 0.7580 0.9521 [2 per cell]
Pb 0.4836 0.2732 0.4988 [2 per cell]
Pb 0.4954 0.0040 0.9874 [2 per cell]
O 0.0718 0.1645 0.4716 [2 per cell]
O 0.1628 0.9382 0.1941 [2 per cell]
O 0.1721 0.9181 0.7001 [2 per cell]
O 0.3005 0.4661 0.5852 [2 per cell]
O 0.3793 0.3066 0.0956 [2 per cell]

Top 10 peaks for 2θ = 10–90°, by intensity:
2theta, d/Å, intensity
27.90, 3.197, 100.0
28.99, 3.080, 91.7
48.11, 1.891, 36.9
31.91, 2.804, 35.0
33.71, 2.658, 33.5
33.26, 2.694, 32.5
57.44, 1.604, 31.5
47.10, 1.929, 23.3
55.59, 1.653, 15.1
56.81, 1.621, 13.7

***

# 2
Diffraction record for Si3GePb8O16. The powder XRD pattern is theoretical, not measured: it uses the GGA-PBE geometry in the Materials Project and Cu Kα.
Kinematic intensities with the Lorentz-polarization factor, no thermal factor.

Cell and atoms:
a = 7.8650 Å, b = 7.8943 Å, c = 18.5722 Å
α = 82.62°, β = 89.73°, γ = 62.29°
Space group P1 (No. 1)
Asymmetric unit:
Si 0.0000 0.0000 0.0000 [1 per cell]
Si 0.0850 0.8406 0.1666 [1 per cell]
Si 0.5789 0.0064 0.9975 [1 per cell]
Ge 0.6550 0.8344 0.1665 [1 per cell]
Pb 0.0924 0.3701 0.1952 [1 per cell]
Pb 0.1007 0.4091 0.9918 [1 per cell]
Pb 0.3005 0.9500 0.3167 [1 per cell]
Pb 0.3445 0.8920 0.8539 [1 per cell]
Pb 0.5572 0.4154 0.1748 [1 per cell]
Pb 0.5756 0.4598 0.9724 [1 per cell]
Pb 0.7910 0.9794 0.3046 [1 per cell]
Pb 0.8651 0.8523 0.8625 [1 per cell]
O 0.0098 0.5542 0.8840 [1 per cell]
O 0.0996 0.9808 0.2208 [1 per cell]
O 0.1110 0.9092 0.0814 [1 per cell]
O 0.1258 0.8714 0.9383 [1 per cell]
O 0.1564 0.2562 0.3063 [1 per cell]
O 0.2269 0.6106 0.1914 [1 per cell]
O 0.4350 0.2361 0.9729 [1 per cell]
O 0.4954 0.5868 0.8630 [1 per cell]
O 0.5260 0.9675 0.2352 [1 per cell]
O 0.5315 0.9371 0.0798 [1 per cell]
O 0.5779 0.8690 0.9388 [1 per cell]
O 0.6483 0.2779 0.2836 [1 per cell]
O 0.7382 0.5846 0.1833 [1 per cell]
O 0.8044 0.9693 0.0003 [1 per cell]
O 0.8558 0.8845 0.1735 [1 per cell]
O 0.9323 0.2307 0.9806 [1 per cell]

Top 10 peaks for 2θ = 10–90°, by intensity:
2theta, d/Å, intensity
25.77, 3.457, 100.0
21.64, 4.107, 68.0
14.89, 5.950, 62.5
22.63, 3.930, 57.3
26.87, 3.318, 51.7
29.12, 3.067, 49.0
14.46, 6.127, 44.0
24.74, 3.599, 38.0
27.53, 3.240, 37.6
13.02, 6.802, 36.5

***

# 3
Diffraction record for SrGePbO4. The powder XRD pattern is theoretical, not measured: it uses the GGA-PBE geometry in the Materials Project and Cu Kα.
Kinematic intensities with the Lorentz-polarization factor, no thermal factor.

Cell and atoms:
a = 6.0687 Å, b = 7.4199 Å, c = 10.0629 Å
α = 90.00°, β = 90.00°, γ = 90.00°
Space group P2_12_12_1 (No. 19)
Asymmetric unit:
Sr 0.0190 0.2489 0.2090 [4 per cell]
Ge 0.0240 0.9624 0.5872 [4 per cell]
Pb 0.0656 0.4382 0.5911 [4 per cell]
O 0.0448 0.5612 0.0690 [4 per cell]
O 0.1053 0.7366 0.5491 [4 per cell]
O 0.2115 0.4875 0.8073 [4 per cell]
O 0.2483 0.9486 0.1741 [4 per cell]

Top 10 peaks for 2θ = 10–90°, by intensity:
2theta, d/Å, intensity
30.45, 2.936, 100.0
29.58, 3.019, 80.4
29.44, 3.034, 43.9
42.47, 2.128, 30.2
28.19, 3.165, 27.6
20.87, 4.257, 22.8
36.10, 2.488, 21.8
22.96, 3.873, 21.5
54.76, 1.676, 21.3
29.92, 2.986, 20.9

***

# 4
Diffraction record for SrGe12Pb2O27. The powder XRD pattern is theoretical, not measured: it uses the GGA-PBE geometry in the Materials Project and Cu Kα.
Kinematic intensities with the Lorentz-polarization factor, no thermal factor.

Cell and atoms:
a = 20.0005 Å, b = 11.5520 Å, c = 4.8252 Å
α = 90.00°, β = 90.07°, γ = 90.00°
Space group C2 (No. 5)
Asymmetric unit:
Sr 0.0000 0.0000 0.0000 [2 per cell]
Ge 0.0000 0.3266 0.0000 [2 per cell]
Ge 0.0000 0.5075 0.5000 [2 per cell]
Ge 0.0748 0.7429 0.6005 [4 per cell]
Ge 0.0900 0.2371 0.4999 [4 per cell]
Ge 0.1665 0.8273 0.1077 [4 per cell]
Ge 0.1703 0.0077 0.5994 [4 per cell]
Ge 0.2451 0.2317 0.4001 [4 per cell]
Pb 0.1630 0.4903 0.0001 [4 per cell]
O 0.0000 0.8154 0.5000 [2 per cell]
O 0.0305 0.2028 0.2370 [4 per cell]
O 0.0467 0.4350 0.2371 [4 per cell]
O 0.0548 0.5974 0.7065 [4 per cell]
O 0.0772 0.3435 0.7629 [4 per cell]
O 0.0894 0.8388 0.8792 [4 per cell]
O 0.1070 0.1096 0.7060 [4 per cell]
O 0.1247 0.9421 0.3280 [4 per cell]
O 0.1302 0.7077 0.3290 [4 per cell]
O 0.1623 0.2744 0.2938 [4 per cell]
O 0.1996 0.7065 0.8788 [4 per cell]
O 0.2105 0.9371 0.8787 [4 per cell]
O 0.2437 0.0836 0.5000 [4 per cell]
O 0.2446 0.8327 0.3288 [4 per cell]

Top 10 peaks for 2θ = 10–90°, by intensity:
2theta, d/Å, intensity
24.03, 3.703, 100.0
32.65, 2.743, 83.8
30.97, 2.887, 60.3
45.62, 1.989, 27.6
51.09, 1.788, 26.0
30.03, 2.976, 23.2
49.22, 1.851, 22.6
55.09, 1.667, 20.2
26.74, 3.334, 14.6
68.41, 1.371, 13.4

***

# 5
Diffraction record for Sr2PrGeO6. The powder XRD pattern is theoretical, not measured: it uses the GGA-PBE geometry in the Materials Project and Cu Kα.
Kinematic intensities with the Lorentz-polarization factor, no thermal factor.

Cell and atoms:
a = 8.4240 Å, b = 8.4240 Å, c = 8.4240 Å
α = 90.00°, β = 90.00°, γ = 90.00°
Space group Fm-3m (No. 225)
Asymmetric unit:
Sr 0.2500 0.2500 0.2500 [8 per cell]
Pr 0.0000 0.0000 0.0000 [4 per cell]
Ge 0.0000 0.0000 0.5000 [4 per cell]
O 0.0000 0.0000 0.2743 [24 per cell]

Top 10 peaks for 2θ = 10–90°, by intensity:
2theta, d/Å, intensity
30.00, 2.978, 100.0
53.27, 1.720, 39.5
42.95, 2.106, 32.9
86.45, 1.126, 21.7
62.35, 1.489, 19.9
70.73, 1.332, 18.4
78.70, 1.216, 6.4
21.09, 4.212, 5.7
35.34, 2.540, 4.9
18.24, 4.864, 4.1

***

# 6
Diffraction record for Sr2PrGeO6. The powder XRD pattern is theoretical, not measured: it uses the GGA-PBE geometry in the Materials Project and Cu Kα.
Kinematic intensities with the Lorentz-polarization factor, no thermal factor.

Cell and atoms:
a = 8.3852 Å, b = 8.3852 Å, c = 8.3852 Å
α = 90.00°, β = 90.00°, γ = 90.00°
Space group Pn-3 (No. 201, origin choice 2)
Asymmetric unit:
Sr 0.2500 0.2500 0.2500 [2 per cell]
Sr 0.2500 0.2500 0.7500 [6 per cell]
Pr 0.0000 0.0000 0.0000 [4 per cell]
Ge 0.0000 0.0000 0.5000 [4 per cell]
O 0.0304 0.5350 0.7754 [24 per cell]

Top 10 peaks for 2θ = 10–90°, by intensity:
2theta, d/Å, intensity
30.14, 2.965, 100.0
53.54, 1.712, 42.9
43.15, 2.096, 30.1
86.94, 1.121, 22.8
71.11, 1.326, 18.4
62.68, 1.482, 17.4
79.13, 1.210, 5.6
35.51, 2.528, 5.2
21.19, 4.193, 4.9
18.33, 4.841, 4.1